Diffraction record for CuSbPb2S4. The PXRD pattern is simulated, not measured: it uses a cell relaxed with GGA-PBE and Cu Kα, 1.54184 Å.
No peak broadening, texture or thermal motion is included.

Structural model:
```
16
Lattice="8.075 0.000 0.000 0.000 8.849 0.000 0.000 0.000 6.048" Properties=species:S:1:pos:R:3 pbc="T T T"
Cu 0.000 1.615 0.000
Cu 4.037 7.234 3.024
Sb 0.000 7.821 3.193
Sb 4.037 1.028 0.170
Pb 1.761 5.780 0.194
Pb 2.276 3.069 3.218
Pb 5.799 3.069 3.218
Pb 6.313 5.780 0.194
S 0.000 1.798 3.706
S 0.000 8.157 0.685
S 1.990 6.154 3.458
S 2.048 2.696 0.435
S 4.037 0.692 3.708
S 4.037 7.051 0.682
S 6.027 2.696 0.435
S 6.085 6.154 3.458
```

Main lines, in order of rising 2θ (2θ from 10° to 90°):
| 2θ (°) | Rel. int. |
| --- | --- |
| 17.8 | 28 |
| 24.2 | 77 |
| 24.9 | 100 |
| 28.4 | 80 |
| 29.5 | 71 |
| 37.8 | 52 |
| 38.6 | 40 |
| 48.7 | 47 |
| 49.7 | 22 |
| 51.7 | 22 |


Diffraction record for DyMn9B4. The PXRD pattern is simulated, not measured: it uses a cell relaxed with GGA-PBE and Cu Kα, 1.54184 Å.
No peak broadening, texture or thermal motion is included.

Structural model:
```
28
Lattice="-3.644 3.644 5.630 3.644 -3.644 5.630 3.644 3.644 -5.630" Properties=species:S:1:pos:R:3 pbc="T T T"
Dy 0.000 0.000 2.815
Dy 0.000 0.000 8.445
Mn 3.644 0.000 0.000
Mn 2.683 -0.962 2.038
Mn 5.923 0.589 0.000
Mn 0.589 1.366 0.000
Mn 4.606 -0.962 3.592
Mn 4.233 2.279 0.000
Mn 4.606 0.962 2.038
Mn 2.279 3.056 0.000
Mn 2.683 0.962 3.592
Mn 0.000 3.644 0.000
Mn 0.962 2.683 2.038
Mn 1.366 0.589 5.630
Mn -0.962 2.683 3.592
Mn -0.589 1.366 5.630
Mn -0.962 4.606 2.038
Mn 3.056 2.279 5.630
Mn -2.279 3.056 5.630
Mn 0.962 4.606 3.592
B 2.439 1.205 -1.437
B 2.439 -1.205 4.193
B 2.439 1.205 1.437
B 2.439 -1.205 7.067
B 1.205 4.850 -1.437
B 1.205 2.439 4.193
B 1.205 4.850 1.437
B 1.205 2.439 7.067
```

Main lines, in order of rising 2θ (2θ from 10° to 90°):
| 2θ (°) | Rel. int. |
| --- | --- |
| 24.4 | 19 |
| 28.5 | 21 |
| 29.2 | 11 |
| 31.8 | 26 |
| 36.4 | 22 |
| 38.4 | 16 |
| 40.5 | 18 |
| 42.4 | 100 |
| 49.2 | 17 |
| 51.3 | 22 |


Diffraction record for RbPrTiNbO6F. The PXRD pattern is simulated, not measured: it uses a cell relaxed with GGA-PBE and Cu Kα, 1.54184 Å.
No peak broadening, texture or thermal motion is included.

Structural model:
```
11
Lattice="3.860 0.000 0.000 0.000 3.899 0.000 0.000 0.000 11.298" Properties=species:S:1:pos:R:3 pbc="T T T"
Rb 0.000 0.000 0.000
Pr 0.000 0.000 5.455
Ti 1.930 1.950 3.143
Nb 1.930 1.950 7.770
O 0.000 1.950 3.585
O 0.000 1.950 7.292
O 1.930 0.000 7.259
O 1.930 1.950 1.435
O 1.930 1.950 5.403
O 1.930 1.950 9.571
F 1.930 0.000 3.530
```

Main lines, in order of rising 2θ (2θ from 10° to 90°):
| 2θ (°) | Rel. int. |
| --- | --- |
| 27.8 | 100 |
| 28.0 | 100 |
| 31.7 | 16 |
| 32.6 | 72 |
| 36.4 | 21 |
| 46.1 | 40 |
| 46.6 | 27 |
| 47.1 | 24 |
| 55.2 | 29 |
| 55.6 | 28 |


Diffraction record for Th2Si3Ni5. The PXRD pattern is simulated, not measured: it uses a cell relaxed with GGA-PBE and Cu Kα, 1.54184 Å.
No peak broadening, texture or thermal motion is included.

Structural model:
```
20
Lattice="-4.746 5.684 2.926 4.746 -5.684 2.926 4.746 5.684 -2.926" Properties=species:S:1:pos:R:3 pbc="T T T"
Th 2.337 1.461 0.000
Th 2.337 -1.461 2.926
Th 2.409 7.145 0.000
Th 2.409 4.224 2.926
Si 8.312 1.387 0.000
Si 4.746 0.000 1.463
Si 3.566 4.297 0.000
Si 1.180 1.387 2.926
Si 0.000 5.684 1.463
Si -3.566 4.297 2.926
Ni 4.746 2.933 -1.463
Ni 5.988 1.323 0.000
Ni 0.000 0.000 1.463
Ni 1.242 4.361 0.000
Ni 0.000 2.751 1.463
Ni 4.746 2.933 1.463
Ni 3.504 1.323 2.926
Ni 0.000 0.000 4.390
Ni -1.242 4.361 2.926
Ni 0.000 2.751 4.390
```

Main lines, in order of rising 2θ (2θ from 10° to 90°):
| 2θ (°) | Rel. int. |
| --- | --- |
| 18.7 | 19 |
| 23.7 | 82 |
| 30.5 | 20 |
| 35.9 | 100 |
| 36.1 | 71 |
| 36.9 | 66 |
| 44.4 | 62 |
| 53.2 | 35 |
| 57.8 | 26 |
| 59.0 | 23 |


Diffraction record for Sc4GaPd2Rh. The PXRD pattern is simulated, not measured: it uses a cell relaxed with GGA-PBE and Cu Kα, 1.54184 Å.
No peak broadening, texture or thermal motion is included.

Structural model:
```
8
Lattice="2.337 1.349 7.647 -2.337 1.349 7.647 0.000 -2.699 7.647" Properties=species:S:1:pos:R:3 pbc="T T T"
Sc 0.000 0.000 2.774
Sc 0.000 0.000 8.534
Sc 0.000 0.000 14.408
Sc 0.000 0.000 20.168
Ga 0.000 0.000 11.471
Pd 0.000 0.000 5.678
Pd 0.000 0.000 17.264
Rh 0.000 0.000 0.000
```

Main lines, in order of rising 2θ (2θ from 10° to 90°):
| 2θ (°) | Rel. int. |
| --- | --- |
| 27.0 | 18 |
| 38.5 | 100 |
| 47.6 | 6 |
| 55.6 | 16 |
| 62.8 | 7 |
| 69.6 | 24 |
| 69.7 | 8 |
| 82.4 | 5 |
| 82.5 | 5 |
| 88.8 | 3 |


Diffraction record for TaSbTe2Se. The PXRD pattern is simulated, not measured: it uses a cell relaxed with GGA-PBE and Cu Kα, 1.54184 Å.
No peak broadening, texture or thermal motion is included.

Structural model:
```
5
Lattice="5.276 0.000 0.000 0.000 5.276 0.000 0.000 0.000 5.475" Properties=species:S:1:pos:R:3 pbc="T T T"
Ta 0.000 0.000 0.000
Sb 0.000 0.000 2.737
Te 0.000 2.638 0.000
Te 2.638 0.000 0.000
Se 2.638 2.638 2.737
```

Main lines, in order of rising 2θ (2θ from 10° to 90°):
| 2θ (°) | Rel. int. |
| --- | --- |
| 16.2 | 39 |
| 16.8 | 68 |
| 23.4 | 25 |
| 29.0 | 57 |
| 32.7 | 55 |
| 34.0 | 100 |
| 37.0 | 20 |
| 47.9 | 76 |
| 48.8 | 36 |
| 60.0 | 38 |


Diffraction record for K3In7Hg4. The PXRD pattern is simulated, not measured: it uses a cell relaxed with GGA-PBE and Cu Kα, 1.54184 Å.
No peak broadening, texture or thermal motion is included.

Structural model:
```
14
Lattice="9.107 -2.574 0.000 9.107 2.574 0.000 -6.148 0.000 8.859" Properties=species:S:1:pos:R:3 pbc="T T T"
K 0.000 0.000 0.000
K 3.596 0.000 2.607
K 8.469 0.000 6.252
In -3.074 0.000 4.430
In 0.007 0.000 3.757
In 0.064 0.000 8.696
In 4.849 0.000 6.067
In 7.216 0.000 2.792
In 12.001 0.000 0.163
In 12.058 0.000 5.102
Hg -2.804 0.000 7.554
Hg 1.809 0.000 6.283
Hg 10.256 0.000 2.576
Hg 14.869 0.000 1.306
```

Main lines, in order of rising 2θ (2θ from 10° to 90°):
| 2θ (°) | Rel. int. |
| --- | --- |
| 16.4 | 71 |
| 19.1 | 55 |
| 29.7 | 60 |
| 30.2 | 70 |
| 30.3 | 42 |
| 34.9 | 100 |
| 36.0 | 52 |
| 38.0 | 42 |
| 38.5 | 55 |
| 51.0 | 38 |


Diffraction record for InCu5Ni6. The PXRD pattern is simulated, not measured: it uses a cell relaxed with GGA-PBE and Cu Kα, 1.54184 Å.
No peak broadening, texture or thermal motion is included.

Structural model:
```
12
Lattice="4.357 0.000 0.000 0.000 5.270 0.000 -0.375 0.000 6.284" Properties=species:S:1:pos:R:3 pbc="T T T"
In 0.000 0.000 0.000
Cu 0.000 2.635 0.000
Cu 1.212 2.635 4.203
Cu 1.254 0.000 4.159
Cu 2.728 0.000 2.125
Cu 2.770 2.635 2.081
Ni 0.597 1.357 2.151
Ni 0.597 3.913 2.151
Ni 2.179 1.390 0.000
Ni 2.179 3.880 0.000
Ni 3.385 1.357 4.133
Ni 3.385 3.913 4.133
```

Main lines, in order of rising 2θ (2θ from 10° to 90°):
| 2θ (°) | Rel. int. |
| --- | --- |
| 30.8 | 2 |
| 43.1 | 100 |
| 43.2 | 99 |
| 49.0 | 67 |
| 52.6 | 27 |
| 71.6 | 10 |
| 72.0 | 10 |
| 74.7 | 34 |
| 87.5 | 22 |
| 87.7 | 22 |


Diffraction record for AcLa2DyEr4. The PXRD pattern is simulated, not measured: it uses a cell relaxed with GGA-PBE and Cu Kα, 1.54184 Å.
No peak broadening, texture or thermal motion is included.

Structural model:
```
16
Lattice="7.262 0.000 0.000 -3.613 6.314 0.000 -3.629 -2.081 11.705" Properties=species:S:1:pos:R:3 pbc="T T T"
Ac 0.000 0.000 0.000
Ac 1.816 -1.041 5.852
La -1.815 -1.041 5.852
La -3.621 2.116 5.852
La 1.825 3.157 0.000
La 0.010 2.116 5.852
Dy -1.806 3.157 0.000
Dy 3.631 0.000 0.000
Er -5.413 3.164 8.793
Er -3.617 0.037 8.802
Er -1.814 3.158 8.802
Er 0.016 4.215 2.880
Er 0.004 0.017 8.825
Er 1.834 1.075 2.903
Er 3.637 4.195 2.903
Er 5.433 1.069 2.912
```

Main lines, in order of rising 2θ (2θ from 10° to 90°):
| 2θ (°) | Rel. int. |
| --- | --- |
| 30.1 | 100 |
| 30.6 | 32 |
| 35.0 | 22 |
| 35.1 | 45 |
| 50.2 | 16 |
| 50.7 | 24 |
| 59.7 | 10 |
| 59.8 | 14 |
| 60.0 | 14 |
| 60.4 | 9 |


Diffraction record for PmDy2Ho2Er. The PXRD pattern is simulated, not measured: it uses a cell relaxed with GGA-PBE and Cu Kα, 1.54184 Å.
No peak broadening, texture or thermal motion is included.

Structural model:
```
12
Lattice="6.509 0.000 0.000 0.000 17.702 0.000 0.000 0.000 3.389" Properties=species:S:1:pos:R:3 pbc="T T T"
Pm 0.000 0.000 0.000
Pm 3.254 8.851 1.694
Dy 1.465 3.286 0.000
Dy 1.790 12.138 1.694
Dy 4.719 5.565 1.694
Dy 5.044 14.416 0.000
Ho 1.446 6.235 1.694
Ho 1.808 15.087 0.000
Ho 4.701 2.616 0.000
Ho 5.062 11.467 1.694
Er 0.000 8.851 0.000
Er 3.254 0.000 1.694
```

Main lines, in order of rising 2θ (2θ from 10° to 90°):
| 2θ (°) | Rel. int. |
| --- | --- |
| 26.8 | 31 |
| 29.2 | 100 |
| 30.3 | 79 |
| 30.4 | 94 |
| 31.4 | 39 |
| 33.3 | 33 |
| 34.2 | 61 |
| 36.1 | 39 |
| 41.4 | 67 |
| 65.6 | 45 |


Diffraction record for Pm2B10Pt. The PXRD pattern is simulated, not measured: it uses a cell relaxed with GGA-PBE and Cu Kα, 1.54184 Å.
No peak broadening, texture or thermal motion is included.

Structural model:
```
26
Lattice="5.740 0.000 0.000 0.000 11.470 0.000 0.000 0.000 4.212" Properties=species:S:1:pos:R:3 pbc="T T T"
Pm 1.099 1.601 0.000
Pm 1.771 7.336 0.000
Pm 3.969 4.134 0.000
Pm 4.641 9.869 0.000
B 0.312 3.511 2.106
B 0.670 10.963 2.106
B 0.800 9.206 2.106
B 1.251 4.360 0.834
B 1.251 4.360 3.378
B 1.619 10.095 0.834
B 1.619 10.095 3.378
B 2.070 3.471 2.106
B 2.200 5.229 2.106
B 2.558 9.246 2.106
B 3.182 2.224 2.106
B 3.540 6.241 2.106
B 3.670 7.998 2.106
B 4.121 1.375 0.834
B 4.121 1.375 3.378
B 4.489 7.110 0.834
B 4.489 7.110 3.378
B 4.940 2.264 2.106
B 5.070 0.506 2.106
B 5.428 7.959 2.106
Pt 0.000 5.735 2.106
Pt 2.870 0.000 2.106
```

Main lines, in order of rising 2θ (2θ from 10° to 90°):
| 2θ (°) | Rel. int. |
| --- | --- |
| 17.3 | 22 |
| 21.9 | 43 |
| 26.3 | 33 |
| 27.4 | 67 |
| 28.0 | 37 |
| 30.6 | 64 |
| 38.0 | 100 |
| 42.9 | 21 |
| 44.7 | 27 |
| 58.2 | 23 |


Diffraction record for Th4Zn2Cd5. The PXRD pattern is simulated, not measured: it uses a cell relaxed with GGA-PBE and Cu Kα, 1.54184 Å.
No peak broadening, texture or thermal motion is included.

Structural model:
```
11
Lattice="8.102 0.000 0.000 0.000 3.358 0.000 -0.667 0.000 10.341" Properties=species:S:1:pos:R:3 pbc="T T T"
Th 0.984 0.000 3.871
Th 1.514 0.000 9.848
Th 5.921 0.000 0.493
Th 6.451 0.000 6.470
Zn 0.312 1.679 1.356
Zn 7.123 1.679 8.985
Cd 1.219 1.679 6.874
Cd 3.431 1.679 2.161
Cd 3.717 1.679 5.170
Cd 4.004 1.679 8.180
Cd 6.216 1.679 3.467
```

Main lines, in order of rising 2θ (2θ from 10° to 90°):
| 2θ (°) | Rel. int. |
| --- | --- |
| 33.3 | 100 |
| 33.8 | 72 |
| 34.1 | 58 |
| 34.7 | 55 |
| 35.3 | 78 |
| 35.8 | 67 |
| 36.2 | 64 |
| 37.4 | 38 |
| 38.3 | 50 |
| 53.9 | 37 |